This entry pairs a crystal structure of GaFe2F8 with its simulated powder diffraction line list. Radiation: Cu Kα (weighted mean of Kα1 and Kα2). Structure: a structure optimized by DFT (GGA+U).
Neutral-atom scattering factors, no anomalous dispersion.

Largest 6 diffraction maxima, sorted by position, 15° ≤ 2θ ≤ 90°:
h k l	2θ (°)	I_rel
0 1 1	22.6	100
1 1 0	31.5	29
1 0 2	32.8	13
0 2 2	46.1	17
1 2 1	51.0	19
1 1 3	52.8	13

Crystal structure
Unit cell a=5.6866 b=5.6866 c=6.5573 alpha=90.00 beta=90.00 gamma=120.00
Space group P-3m1 (No. 164)
Inequivalent atoms, fractional coordinates:
Ga1 0.0000 0.0000 0.0000 x1
Fe1 0.3333 0.6667 0.2989 x2
F1 0.1570 0.3141 0.1699 x6
F2 0.3333 0.6667 0.5781 x2